Diffraction record for LiAu4Se4Cl4O12. The X-ray powder pattern is computed, not measured: it uses a GGA-PBE-relaxed structure and Cu Ka.

Main lines, in order of falling intensity (2θ = 5–70°):
| Position (°2θ) | I_rel | h k l |
| --- | --- | --- |
| 19.70 | 100 | 1 0 0 |
| 7.78 | 87 | 0 0 1 |
| 26.41 | 67 | 1 -1 2 |
| 12.34 | 65 | 0 1 1 |
| 17.40 | 55 | 0 1 -2 |
| 26.84 | 38 | 1 2 0 |
| 30.36 | 37 | 0 3 -2 |
| 21.24 | 36 | 1 0 1 |
| 25.85 | 36 | 0 1 3 |
| 27.69 | 35 | 0 3 -1 |

```
LiAu4Se4Cl4O12
1.0
4.5065 0.0000 0.0000
-0.0204 9.8801 0.0000
-0.0387 -0.8908 11.3622
Li Au Se Cl O
1 4 4 4 12
Direct
0.0000 0.0000 0.0000
0.7528 0.7687 0.8610
0.7638 0.1742 0.5451
0.7653 0.3623 0.1808
0.7674 0.7678 0.3630
0.0648 0.6561 0.1033
0.4648 0.8842 0.6184
0.5726 0.4784 0.4523
0.9579 0.0620 0.2791
0.0447 0.5745 0.8312
0.0769 0.2548 0.0364
0.4279 0.2550 0.6837
0.4977 0.9818 0.9048
0.0756 0.1061 0.4214
0.1094 0.7352 0.2446
0.4207 0.8038 0.4779
0.4623 0.4374 0.3075
0.6426 0.7519 0.6831
0.6696 0.9453 0.2933
0.6844 0.1789 0.2463
0.7531 0.5546 0.1153
0.7821 0.9854 0.6058
0.8393 0.3571 0.4824
0.8659 0.5922 0.4356
0.8909 0.7951 0.0381
```

Diffraction record for LiAu4Se4Cl4O12. The X-ray powder pattern is computed, not measured: it uses a GGA-PBE-relaxed structure and Cu Ka.

Main lines, in order of falling intensity (2θ = 5–70°):
| Position (°2θ) | I_rel | h k l |
| --- | --- | --- |
| 17.15 | 100 | 1 0 0 |
| 8.11 | 50 | 0 0 1 |
| 12.66 | 32 | 0 1 1 |
| 25.56 | 30 | 1 2 0 |
| 25.15 | 29 | 1 -1 2 |
| 19.32 | 25 | 0 1 2 |
| 30.66 | 25 | 0 3 -2 |
| 17.91 | 24 | 0 1 -2 |
| 20.76 | 24 | 1 1 -1 |
| 40.05 | 23 | 1 1 4 |

```
LiAu4Se4Cl4O12
1.0
5.1782 0.0000 0.0000
-0.3736 9.8422 0.0000
-0.4548 -0.9528 10.9037
Li Au Se Cl O
1 4 4 4 12
Direct
0.0000 0.0000 0.0000
0.4237 0.7568 0.8299
0.4784 0.1418 0.4817
0.5249 0.1505 0.9835
0.5474 0.5431 0.1638
0.2204 0.2622 0.2334
0.4427 0.8656 0.1250
0.6164 0.4484 0.8791
0.7257 0.0115 0.7209
0.2261 0.3270 0.5216
0.2833 0.6272 0.3130
0.6333 0.6681 0.6636
0.7292 0.9560 0.4355
0.1811 0.1683 0.0919
0.2443 0.8403 0.9875
0.3509 0.1250 0.3044
0.3728 0.5699 0.8914
0.3928 0.3172 0.8938
0.4218 0.9438 0.7616
0.5174 0.3491 0.2146
0.6076 0.1569 0.6604
0.6515 0.7313 0.1127
0.6701 0.9837 0.0818
0.7760 0.4731 0.0240
0.8345 0.0912 0.8624
```

Diffraction record for LiAu4Se4Cl4O12. The X-ray powder pattern is computed, not measured: it uses a GGA-PBE-relaxed structure and Cu Ka.

Main lines, in order of falling intensity (2θ = 5–70°):
| Position (°2θ) | I_rel | h k l |
| --- | --- | --- |
| 19.90 | 100 | 1 0 0 |
| 26.74 | 89 | -1 1 2 |
| 8.04 | 60 | 0 0 1 |
| 12.57 | 52 | 0 1 -1 |
| 17.44 | 50 | 0 1 2 |
| 26.59 | 47 | 1 2 0 |
| 27.81 | 45 | 1 -1 2 |
| 17.56 | 41 | 0 2 0 |
| 29.46 | 41 | 0 3 2 |
| 19.25 | 41 | 0 1 -2 |

```
LiAu4Se4Cl4O12
1.0
4.4622 0.0000 0.0000
0.0639 10.1677 0.0000
0.0863 1.2818 11.0011
Li Au Se Cl O
1 4 4 4 12
Direct
0.0000 0.0000 0.0000
0.8591 0.8337 0.2819
0.8662 0.4162 0.4707
0.8687 0.9970 0.6592
0.8739 0.4099 0.9727
0.0662 0.7029 0.5618
0.1557 0.2849 0.7319
0.5874 0.5434 0.2069
0.6622 0.1301 0.3814
0.1718 0.2199 0.0225
0.1896 0.9214 0.8202
0.5663 0.9152 0.1076
0.5883 0.5979 0.9260
0.1700 0.7710 0.4169
0.2136 0.3690 0.5887
0.5219 0.4614 0.3515
0.5595 0.0608 0.5269
0.7797 0.5927 0.5367
0.7965 0.4130 0.1530
0.7970 0.8116 0.6109
0.8453 0.1838 0.7155
0.8924 0.6440 0.2274
0.9261 0.0225 0.3290
0.9485 0.4110 0.7910
0.9510 0.2392 0.4064
```